Diffraction record for NbV2FeO6. The powder diffraction line list is theoretical, not measured: it uses a structure optimized by DFT (GGA+U) and λ = 1.5418 Å (Cu Kα).
Intensities are scaled so that the largest is 100.

Structure:
abc: 5.2462 5.2635 5.6055
angles: 91.52 116.20 119.14
Space group P1 (No. 1)
Unique sites:
Nb: 0.0000 0.0000 0.0000 x1
V: 0.5939 0.8018 0.3961 x1
V: 0.5972 0.3078 0.8947 x1
Fe: 0.0147 0.5111 0.5189 x1
O: 0.0906 0.7195 0.1798 x1
O: 0.0991 0.9085 0.6955 x1
O: 0.4583 0.3747 0.1741 x1
O: 0.5100 0.5957 0.7092 x1
O: 0.7854 0.1953 0.7043 x1
O: 0.8014 0.1064 0.1838 x1

Main lines, most intense first (5 to 70 degrees two-theta):
| d [Å] | two_theta | I/Imax |
| --- | --- | --- |
| 2.858 | 31.30 | 100 |
| 2.786 | 32.13 | 92 |
| 2.823 | 31.69 | 91 |
| 2.661 | 33.68 | 83 |
| 2.621 | 34.21 | 79 |
| 2.631 | 34.08 | 76 |
| 3.775 | 23.57 | 52 |
| 1.532 | 60.42 | 51 |